No. 1
Theoretical XRD peak list of Ti4HN3 for CuKα, from a structure optimized by DFT (PBE).

```
data_Ti4HN3
_cell_length_a 5.9943
_cell_length_b 8.4779
_cell_length_c 3.0013
_cell_angle_alpha 90.00
_cell_angle_beta 90.00
_cell_angle_gamma 90.00
_space_group_name_H-M_alt 'C m m m'
_space_group_IT_number 65
_space_group_name_Hall '-C 2 2'
loop_
_atom_site_label
_atom_site_fract_x
_atom_site_fract_y
_atom_site_fract_z
Ti1 0.0000 0.2448 0.0000
Ti2 0.2414 0.0000 0.5000
H1 0.0000 0.5000 0.0000
N1 0.0000 0.0000 0.0000
N2 0.2500 0.2500 0.5000
```

Principal peaks in the range 2θ from 10° to 80°, by angle:
2θ (°), intensity
18.12, 6
36.71, 88
42.64, 100
61.89, 56
74.16, 31
78.06, 17

***

No. 2
Theoretical XRD peak list of Ti5HN4 for CuKα, from a structure optimized by DFT (PBE).

```
data_Ti5HN4
_cell_length_a 2.9905
_cell_length_b 4.2709
_cell_length_c 14.9351
_cell_angle_alpha 90.00
_cell_angle_beta 90.00
_cell_angle_gamma 90.00
_space_group_name_H-M_alt 'I m m m'
_space_group_IT_number 71
_space_group_name_Hall '-I 2 2'
loop_
_atom_site_label
_atom_site_fract_x
_atom_site_fract_y
_atom_site_fract_z
Ti1 0.0000 0.0000 0.0000
Ti2 0.0000 0.0000 0.1979
Ti3 0.0000 0.0000 0.3962
H1 0.0000 0.5000 0.0000
N1 0.0000 0.5000 0.1994
N2 0.0000 0.5000 0.4010
```

Principal peaks in the range 2θ from 10° to 80°, by angle:
2θ (°), intensity
36.70, 100
42.32, 41
42.79, 79
61.76, 45
62.11, 22
74.37, 23

***

No. 3
Theoretical XRD peak list of Ti20H2N17 for CuKα, from a structure optimized by DFT (PBE).

```
data_Ti20H2N17
_cell_length_a 15.6259
_cell_length_b 3.0031
_cell_length_c 16.9628
_cell_angle_alpha 90.00
_cell_angle_beta 105.77
_cell_angle_gamma 90.00
_space_group_name_H-M_alt 'C 1 2/m 1'
_space_group_IT_number 12
_space_group_name_Hall '-C 2y'
loop_
_atom_site_label
_atom_site_fract_x
_atom_site_fract_y
_atom_site_fract_z
Ti1 0.0008 0.0000 0.1298
Ti2 0.0039 0.0000 0.3764
Ti3 0.0992 0.5000 0.5228
Ti4 0.1003 0.5000 0.2735
Ti5 0.1004 0.5000 0.7794
Ti6 0.1054 0.5000 0.0264
Ti7 0.1999 0.0000 0.1748
Ti8 0.2000 0.0000 0.9232
Ti9 0.2010 0.0000 0.4269
Ti10 0.2041 0.0000 0.6762
H1 0.1000 0.5000 0.6504
N1 0.0001 0.0000 0.2509
N2 0.0000 0.0000 0.5000
N3 0.0993 0.5000 0.1484
N4 0.0990 0.5000 0.4000
N5 0.0989 0.5000 0.9013
N6 0.1986 0.0000 0.0492
N7 0.1991 0.0000 0.7984
N8 0.1998 0.0000 0.5505
N9 0.2007 0.0000 0.3007
```

Principal peaks in the range 2θ from 10° to 80°, by angle:
2θ (°), intensity
36.65, 100
42.54, 84
42.64, 42
61.68, 12
61.80, 58
73.98, 24

***

What did the third record say?
Theoretical XRD peak list of Ti20H2N17 for CuKα, from a structure optimized by DFT (PBE).

```
data_Ti20H2N17
_cell_length_a 15.6259
_cell_length_b 3.0031
_cell_length_c 16.9628
_cell_angle_alpha 90.00
_cell_angle_beta 105.77
_cell_angle_gamma 90.00
_space_group_name_H-M_alt 'C 1 2/m 1'
_space_group_IT_number 12
_space_group_name_Hall '-C 2y'
loop_
_atom_site_label
_atom_site_fract_x
_atom_site_fract_y
_atom_site_fract_z
Ti1 0.0008 0.0000 0.1298
Ti2 0.0039 0.0000 0.3764
Ti3 0.0992 0.5000 0.5228
Ti4 0.1003 0.5000 0.2735
Ti5 0.1004 0.5000 0.7794
Ti6 0.1054 0.5000 0.0264
Ti7 0.1999 0.0000 0.1748
Ti8 0.2000 0.0000 0.9232
Ti9 0.2010 0.0000 0.4269
Ti10 0.2041 0.0000 0.6762
H1 0.1000 0.5000 0.6504
N1 0.0001 0.0000 0.2509
N2 0.0000 0.0000 0.5000
N3 0.0993 0.5000 0.1484
N4 0.0990 0.5000 0.4000
N5 0.0989 0.5000 0.9013
N6 0.1986 0.0000 0.0492
N7 0.1991 0.0000 0.7984
N8 0.1998 0.0000 0.5505
N9 0.2007 0.0000 0.3007
```

Principal peaks in the range 2θ from 10° to 80°, by angle:
2θ (°), intensity
36.65, 100
42.54, 84
42.64, 42
61.68, 12
61.80, 58
73.98, 24